[1]
Starting from DFT lattice parameters and positions (PBE), the PXRD pattern of Li3Y was computed for λ = 1.5418 Å (Cu Kα).
Kinematic intensities with the Lorentz-polarization factor, no thermal factor.

Cell lengths 3.6473, 3.6473, 13.9482 Å; angles 90.00, 90.00, 90.00 degrees
Positions (direct):
Li (0.2500, 0.2500, 0.0558)
Li (0.2500, 0.2500, 0.2704)
Li (0.2500, 0.2500, 0.8323)
Li (0.7500, 0.7500, 0.1677)
Li (0.7500, 0.7500, 0.7296)
Li (0.7500, 0.7500, 0.9442)
Y (0.2500, 0.2500, 0.5838)
Y (0.7500, 0.7500, 0.4162)

Largest 8 diffraction maxima, in order of rising 2θ, 2θ from 10° to 90°:
2θ/deg	d/Å	I_rel
12.69	6.974	44
25.24	3.529	39
27.60	3.232	98
31.17	2.870	100
34.79	2.579	50
35.39	2.536	44
35.62	2.520	68
60.12	1.539	29

[2]
Starting from DFT lattice parameters and positions (PBE), the PXRD pattern of LiAg2SnCl6 was computed for λ = 1.5418 Å (Cu Kα).
Kinematic intensities with the Lorentz-polarization factor, no thermal factor.

Cell lengths 9.4830, 9.4830, 7.1255 Å; angles 111.37, 111.37, 78.51 degrees
Positions (direct):
Li (0.2314, 0.7686, 0.7500)
Li (0.7686, 0.2314, 0.2500)
Ag (0.3500, 0.4309, 0.4443)
Ag (0.4309, 0.3500, 0.9443)
Ag (0.5691, 0.6500, 0.0557)
Ag (0.6500, 0.5691, 0.5557)
Sn (0.1022, 0.8978, 0.2500)
Sn (0.8978, 0.1022, 0.7500)
Cl (0.0338, 0.1769, 0.1780)
Cl (0.1346, 0.6466, 0.3206)
Cl (0.1769, 0.0338, 0.6780)
Cl (0.2416, 0.4971, 0.7383)
Cl (0.3534, 0.8654, 0.1794)
Cl (0.4971, 0.2416, 0.2383)
Cl (0.5029, 0.7584, 0.7617)
Cl (0.6466, 0.1346, 0.8206)
Cl (0.7584, 0.5029, 0.2617)
Cl (0.8231, 0.9662, 0.3220)
Cl (0.8654, 0.3534, 0.6794)
Cl (0.9662, 0.8231, 0.8220)

Largest 8 diffraction maxima, in order of rising 2θ, 2θ from 10° to 90°:
2θ/deg	d/Å	I_rel
13.67	6.479	100
14.76	6.001	79
20.60	4.312	96
21.87	4.064	78
26.89	3.315	79
27.53	3.240	41
33.16	2.701	41
44.36	2.042	44